For EuCrAs2, a DFT-relaxed cell (PBE, Alexandria) gives the computed X-ray powder pattern in this record (CuKα).

Atomic structure:
```
data_EuCrAs2
_space_group_name_H-M_alt 'R -3 m'
_space_group_IT_number 166
_space_group_name_Hall '-R 3 2"'
_cell_length_a 3.9676
_cell_length_b 3.9676
_cell_length_c 18.7141
_cell_angle_alpha 90.00
_cell_angle_beta 90.00
_cell_angle_gamma 120.00
loop_
_atom_site_label
_atom_site_fract_x
_atom_site_fract_y
_atom_site_fract_z
Eu1 0.0000 0.0000 0.0000
Cr1 0.0000 0.0000 0.5000
As1 0.0000 0.0000 0.2309
```

Principal peaks in the range 15° ≤ 2θ ≤ 90°, in order of rising 2θ:
2θ (°)	d/Å	I (rel.)
26.37	3.380	19.0
32.33	2.769	100.0
35.46	2.531	22.8
45.74	1.984	41.3
46.99	1.934	25.4
57.11	1.613	19.0
64.97	1.435	12.8
76.06	1.251	16.1

---

For Cr3Fe3GeAs2, a DFT-relaxed cell (PBE, Alexandria) gives the computed X-ray powder pattern in this record (CuKα).

Atomic structure:
```
data_Cr3Fe3GeAs2
_space_group_name_H-M_alt 'P -6 2 m'
_space_group_IT_number 189
_space_group_name_Hall 'P -6 -2'
_cell_length_a 6.0069
_cell_length_b 6.0069
_cell_length_c 3.7545
_cell_angle_alpha 90.00
_cell_angle_beta 90.00
_cell_angle_gamma 120.00
loop_
_atom_site_label
_atom_site_fract_x
_atom_site_fract_y
_atom_site_fract_z
Cr1 0.0000 0.5792 0.0000
Fe1 0.0000 0.2444 0.5000
Ge1 0.0000 0.0000 0.0000
As1 0.3333 0.6667 0.5000
```

Principal peaks in the range 15° ≤ 2θ ≤ 90°, in order of rising 2θ:
2θ (°)	d/Å	I (rel.)
38.38	2.345	66.2
42.27	2.138	100.0
46.17	1.966	32.7
48.49	1.877	33.6
52.54	1.742	40.0
52.79	1.734	25.3
74.49	1.274	17.5
85.35	1.137	21.1